Diffraction record for BaYW4O7. The powder diffractogram is simulated, not measured: it uses DFT lattice parameters and positions (PBE+U) and a wavelength of 1.5418 Å.

Top 12 peaks for 10 to 80 degrees two-theta, sorted by position:
| 2θ/deg | I_rel | index |
| --- | --- | --- |
| 15.34 | 22 | 0 0 2 |
| 16.10 | 23 | 1 0 0 |
| 28.29 | 46 | 1 0 3 |
| 30.97 | 21 | 0 0 4 |
| 32.15 | 81 | 1 1 2 |
| 33.47 | 100 | 2 0 1 |
| 36.15 | 21 | 2 0 2 |
| 45.53 | 23 | 2 0 4 |
| 49.82 | 21 | 2 1 3 |
| 51.66 | 44 | 2 0 5 |
| 52.31 | 21 | 3 0 2 |
| 58.04 | 36 | 2 2 0 |

Structural model:
Cell lengths 6.3569, 6.3569, 11.5489 Å; angles 90.00, 90.00, 120.00 degrees
Space group P6_3mc (No. 186)
Inequivalent atoms, fractional coordinates:
1 Ba 0.3333 0.6667 0.0000
2 Y 0.3333 0.6667 0.3859
3 W 0.0000 0.0000 0.0238
4 W 0.1676 0.3353 0.7046
5 O 0.0000 0.0000 0.3229
6 O 0.0372 0.5186 0.8130
7 O 0.1802 0.3605 0.5220